(1)
Starting from DFT lattice parameters and positions (GGA+U), the powder XRD pattern of Mn5Te3O18 was computed for a wavelength of 1.5418 Å.

Main lines, by intensity (2θ = 10–90°):
(3 1 0), 21.2 deg, d 4.184, I 100
(1 1 -2), 20.3 deg, d 4.376, I 32
(2 2 2), 30.6 deg, d 2.925, I 32
(1 3 -2), 35.8 deg, d 2.509, I 28
(4 2 -2), 35.4 deg, d 2.538, I 28
(5 3 2), 49.6 deg, d 1.839, I 22
(3 3 2), 41.5 deg, d 2.176, I 21
(1 1 1), 15.1 deg, d 5.850, I 19
(7 3 -2), 56.1 deg, d 1.639, I 18
(2 0 2), 22.4 deg, d 3.967, I 18
(1 3 -6), 62.4 deg, d 1.489, I 18
(6 0 0), 37.6 deg, d 2.392, I 17

Cell and atoms:
```
data_Mn5Te3O18
_chemical_formula_sum 'Mn20 Te12 O72'
_cell_length_a 14.446
_cell_length_b 8.661
_cell_length_c 10.425
_cell_angle_alpha 90.00
_cell_angle_beta 97.14
_cell_angle_gamma 90.00
_space_group_name_H-M_alt 'C 1 2/c 1'
_space_group_IT_number 15
loop_
_space_group_symop_operation_xyz
'x,y,z'
'-x,-y,-z'
'-x,y,-z+1/2'
'x,-y,z+1/2'
'x+1/2,y+1/2,z'
'-x+1/2,-y+1/2,-z'
'-x+1/2,y+1/2,-z+1/2'
'x+1/2,-y+1/2,z+1/2'
loop_
_atom_site_label
_atom_site_type_symbol
_atom_site_fract_x
_atom_site_fract_y
_atom_site_fract_z
Mn1 Mn 0.000 0.168 0.250
Mn2 Mn 0.155 0.324 0.037
Mn3 Mn 0.158 0.159 0.771
Te1 Te 0.000 0.000 0.000
Te2 Te 0.163 0.491 0.291
O1 O 0.064 0.157 0.420
O2 O 0.075 0.009 0.674
O3 O 0.089 0.334 0.190
O4 O 0.090 0.156 0.939
O5 O 0.097 0.338 0.702
O6 O 0.099 0.498 0.437
O7 O 0.232 0.316 0.883
O8 O 0.239 0.149 0.641
O9 O 0.240 0.475 0.140
```

=====

(2)
Starting from DFT lattice parameters and positions (GGA+U), the powder XRD pattern of Mn4TeO8 was computed for a wavelength of 1.5418 Å.

Main lines, by intensity (2θ = 10–90°):
(0 0 1), 17.0 deg, d 5.222, I 100
(2 2 0), 40.7 deg, d 2.217, I 55
(1 1 1), 17.5 deg, d 5.065, I 47
(0 2 2), 40.4 deg, d 2.232, I 30
(0 2 1), 33.3 deg, d 2.688, I 18
(0 1 1), 19.9 deg, d 4.463, I 14
(0 0 2), 34.3 deg, d 2.611, I 12
(2 0 3), 53.2 deg, d 1.722, I 12
(0 2 0), 34.6 deg, d 2.590, I 11
(2 0 1), 33.9 deg, d 2.647, I 10
(2 2 1), 33.9 deg, d 2.642, I 10
(2 0 0), 35.4 deg, d 2.537, I 10

Cell and atoms:
```
data_Mn4TeO8
_chemical_formula_sum 'Mn4 Te1 O8'
_cell_length_a 6.151
_cell_length_b 6.266
_cell_length_c 6.305
_cell_angle_alpha 61.19
_cell_angle_beta 60.99
_cell_angle_gamma 60.78
_space_group_name_H-M_alt 'P -1'
_space_group_IT_number 2
loop_
_space_group_symop_operation_xyz
'x,y,z'
'-x,-y,-z'
loop_
_atom_site_label
_atom_site_type_symbol
_atom_site_fract_x
_atom_site_fract_y
_atom_site_fract_z
Mn1 Mn 0.000 0.000 0.000
Mn2 Mn 0.000 0.000 0.500
Mn3 Mn 0.500 0.000 0.000
Mn4 Mn 0.500 0.500 0.000
Te1 Te 0.000 0.500 0.000
O1 O 0.222 0.245 0.811
O2 O 0.222 0.719 0.783
O3 O 0.223 0.281 0.218
O4 O 0.251 0.813 0.186
```

=====

(3)
Starting from DFT lattice parameters and positions (GGA+U), the powder XRD pattern of MnTeO3 was computed for a wavelength of 1.5418 Å.

Main lines, by intensity (2θ = 10–90°):
(1 2 1), 31.4 deg, d 2.847, I 100
(2 0 0), 28.8 deg, d 3.104, I 33
(3 2 1), 52.7 deg, d 1.738, I 28
(1 2 3), 57.4 deg, d 1.606, I 24
(1 0 1), 21.6 deg, d 4.118, I 22
(0 0 2), 32.5 deg, d 2.751, I 22
(2 0 2), 44.0 deg, d 2.059, I 21
(2 4 0), 55.2 deg, d 1.663, I 13
(2 4 2), 65.6 deg, d 1.423, I 12
(0 4 0), 46.1 deg, d 1.970, I 11
(2 2 0), 36.9 deg, d 2.438, I 10
(0 4 2), 57.5 deg, d 1.602, I 9

Cell and atoms:
```
data_MnTeO3
_chemical_formula_sum 'Mn4 Te4 O12'
_cell_length_a 6.208
_cell_length_b 7.879
_cell_length_c 5.503
_cell_angle_alpha 90.00
_cell_angle_beta 90.00
_cell_angle_gamma 90.00
_space_group_name_H-M_alt 'P n m a'
_space_group_IT_number 62
loop_
_space_group_symop_operation_xyz
'x,y,z'
'-x,-y,-z'
'-x+1/2,-y,z+1/2'
'x+1/2,y,-z+1/2'
'x+1/2,-y+1/2,-z+1/2'
'-x+1/2,y+1/2,z+1/2'
'-x,y+1/2,-z'
'x,-y+1/2,z'
loop_
_atom_site_label
_atom_site_type_symbol
_atom_site_fract_x
_atom_site_fract_y
_atom_site_fract_z
Mn1 Mn 0.000 0.000 0.000
Te1 Te 0.009 0.250 0.487
O1 O 0.064 0.750 0.173
O2 O 0.177 0.571 0.640
```

=====

What did the second record say?
Starting from DFT lattice parameters and positions (GGA+U), the powder XRD pattern of Mn4TeO8 was computed for a wavelength of 1.5418 Å.

Main lines, by intensity (2θ = 10–90°):
(0 0 1), 17.0 deg, d 5.222, I 100
(2 2 0), 40.7 deg, d 2.217, I 55
(1 1 1), 17.5 deg, d 5.065, I 47
(0 2 2), 40.4 deg, d 2.232, I 30
(0 2 1), 33.3 deg, d 2.688, I 18
(0 1 1), 19.9 deg, d 4.463, I 14
(0 0 2), 34.3 deg, d 2.611, I 12
(2 0 3), 53.2 deg, d 1.722, I 12
(0 2 0), 34.6 deg, d 2.590, I 11
(2 0 1), 33.9 deg, d 2.647, I 10
(2 2 1), 33.9 deg, d 2.642, I 10
(2 0 0), 35.4 deg, d 2.537, I 10

Cell and atoms:
```
data_Mn4TeO8
_chemical_formula_sum 'Mn4 Te1 O8'
_cell_length_a 6.151
_cell_length_b 6.266
_cell_length_c 6.305
_cell_angle_alpha 61.19
_cell_angle_beta 60.99
_cell_angle_gamma 60.78
_space_group_name_H-M_alt 'P -1'
_space_group_IT_number 2
loop_
_space_group_symop_operation_xyz
'x,y,z'
'-x,-y,-z'
loop_
_atom_site_label
_atom_site_type_symbol
_atom_site_fract_x
_atom_site_fract_y
_atom_site_fract_z
Mn1 Mn 0.000 0.000 0.000
Mn2 Mn 0.000 0.000 0.500
Mn3 Mn 0.500 0.000 0.000
Mn4 Mn 0.500 0.500 0.000
Te1 Te 0.000 0.500 0.000
O1 O 0.222 0.245 0.811
O2 O 0.222 0.719 0.783
O3 O 0.223 0.281 0.218
O4 O 0.251 0.813 0.186
```